[1]
For PrNd6Dy2Er, a crystal structure in Alexandria, relaxed with GGA-PBE gives the computed powder diffractogram in this record (λ = 1.5418 Å (Cu Kα)).

The 10 most intense peaks (15° ≤ 2θ ≤ 90°), by angle:
Position (°2θ)	I_rel	index
27.60	215	2 2 -2
28.01	406	1 3 2
29.86	558	3 1 -1
30.17	481	0 2 3
30.70	1000	2 2 2
30.97	381	2 4 -1
31.76	219	1 5 -1
33.36	404	1 3 -3
34.02	152	2 2 -3
36.94	153	3 1 2

Cell and atoms:
a = 9.330 Å, b = 15.333 Å, c = 9.709 Å
α = 90.00°, β = 97.08°, γ = 90.00°
Space group C2/c (No. 15)
Unique sites:
Pr 0.000 0.027 0.250 x4
Nd 0.063 0.180 0.945 x8
Nd 0.097 0.391 0.118 x8
Nd 0.214 0.223 0.313 x8
Dy 0.248 0.451 0.453 x8
Er 0.000 0.411 0.750 x4


[2]
For CsHfCl5, a crystal structure in Alexandria, relaxed with GGA-PBE gives the computed powder diffractogram in this record (λ = 1.5418 Å (Cu Kα)).

The 10 most intense peaks (15° ≤ 2θ ≤ 90°), by angle:
Position (°2θ)	I_rel	index
20.81	956	1 1 -2
25.11	1000	1 1 2
27.00	757	2 2 0
35.04	350	2 0 -4
35.15	362	3 1 2
36.57	592	4 2 0
37.86	258	0 0 4
41.75	284	1 3 2
44.79	373	4 2 -4
51.55	431	2 2 4

Cell and atoms:
a = 13.727 Å, b = 7.722 Å, c = 10.243 Å
α = 90.00°, β = 111.82°, γ = 90.00°
Space group C2/c (No. 15)
Unique sites:
Cs 0.000 0.000 0.250 x4
Hf 0.000 0.500 0.000 x4
Cl 0.000 0.494 0.250 x4
Cl 0.132 0.274 0.063 x8
Cl 0.134 0.278 0.569 x8


[3]
For Ac4PmSb5, a crystal structure in Alexandria, relaxed with GGA-PBE gives the computed powder diffractogram in this record (λ = 1.5418 Å (Cu Kα)).

The 10 most intense peaks (15° ≤ 2θ ≤ 90°), by angle:
Position (°2θ)	I_rel	index
22.95	156	1 0 5
26.53	856	1 1 0
26.61	419	0 0 10
37.91	1000	2 0 0
46.89	365	2 0 10
54.64	117	2 2 0
61.76	324	3 1 0
61.90	155	1 1 20
68.44	237	3 1 10
87.15	125	3 1 20

Cell and atoms:
a = 4.751 Å, b = 4.751 Å, c = 33.499 Å
α = 90.00°, β = 90.00°, γ = 90.00°
Space group I4/mmm (No. 139)
Unique sites:
Ac 0.000 0.000 0.099 x4
Ac 0.000 0.000 0.301 x4
Pm 0.000 0.000 0.500 x2
Sb 0.000 0.000 0.000 x2
Sb 0.000 0.000 0.200 x4
Sb 0.000 0.000 0.403 x4